Theoretical powder X-ray diffraction pattern of EuHfZrSnO6 for CuKα, from a PBE-relaxed structure.
Peak positions follow from Bragg's law for the DFT cell and can differ from measured ones.

Structure:
Cell lengths 5.9206, 5.9206, 5.9206 Å; angles 60.00, 60.00, 60.00 degrees
Fractional positions:
Eu 0.0000 0.0000 0.0000
Hf 0.2500 0.2500 0.2500
Zr 0.7500 0.7500 0.7500
Sn 0.5000 0.5000 0.5000
O 0.0018 0.0018 0.4982
O 0.0018 0.4982 0.0018
O 0.0018 0.4982 0.4982
O 0.4982 0.0018 0.0018
O 0.4982 0.0018 0.4982
O 0.4982 0.4982 0.0018

The 10 most intense peaks (2θ from 15° to 90°), sorted by position:
d [Å]	Position (°2θ)	I_rel
4.834	18.35	6
2.960	30.19	100
2.525	35.56	4
2.093	43.22	30
1.921	47.32	2
1.709	53.62	41
1.480	62.78	19
1.324	71.23	18
1.209	79.27	6
1.119	87.10	22